Li2NdPb: simulated X-ray powder pattern (Cu Kα (weighted mean of Kα1 and Kα2)), based on a cell relaxed with GGA-PBE.
Lines closer than 0.1° are merged.

Structure:
```
data_Li2NdPb
_symmetry_space_group_name_H-M 'F m -3 m'
_symmetry_Int_Tables_number 225
_symmetry_space_group_name_Hall '-F 4 2 3'
_cell_length_a 7.0289
_cell_length_b 7.0289
_cell_length_c 7.0289
_cell_angle_alpha 90.00
_cell_angle_beta 90.00
_cell_angle_gamma 90.00
loop_
_atom_site_label
_atom_site_type_symbol
_atom_site_fract_x
_atom_site_fract_y
_atom_site_fract_z
Li1 Li 0.2500 0.2500 0.2500
Nd1 Nd 0.0000 0.0000 0.0000
Pb1 Pb 0.0000 0.0000 0.5000
```

Largest 8 diffraction maxima, in order of rising 2θ, 2θ = 15–90°:
- (2 0 0), 25.3°, I = 100
- (2 2 0), 36.1°, I = 91
- (2 2 2), 44.7°, I = 30
- (4 0 0), 52.0°, I = 16
- (4 2 0), 58.7°, I = 40
- (4 2 2), 65.0°, I = 34
- (6 0 0), 82.3°, I = 20
- (6 2 0), 87.8°, I = 16

UTl2Te2O8: simulated X-ray powder pattern (Cu Kα (weighted mean of Kα1 and Kα2)), based on a cell relaxed with GGA-PBE.
Lines closer than 0.1° are merged.

Structure:
```
data_UTl2Te2O8
_symmetry_space_group_name_H-M 'P 1 21/c 1'
_symmetry_Int_Tables_number 14
_cell_length_a 5.5368
_cell_length_b 8.5061
_cell_length_c 21.9507
_cell_angle_alpha 90.00
_cell_angle_beta 102.72
_cell_angle_gamma 90.00
loop_
_symmetry_equiv_pos_as_xyz
'x,y,z'
'-x,-y,-z'
'-x,y+1/2,-z+1/2'
'x,-y+1/2,z+1/2'
loop_
_atom_site_label
_atom_site_type_symbol
_atom_site_fract_x
_atom_site_fract_y
_atom_site_fract_z
U1 U 0.0969 0.1748 0.3574
Tl1 Tl 0.0833 0.6652 0.3528
Tl2 Tl 0.2927 0.1135 0.5497
Te1 Te 0.3249 0.5830 0.5527
Te2 Te 0.4881 0.0773 0.7304
O1 O 0.0771 0.6806 0.7002
O2 O 0.1214 0.7464 0.0703
O3 O 0.1729 0.0117 0.6787
O4 O 0.2724 0.0362 0.4177
O5 O 0.3191 0.0955 0.2892
O6 O 0.3754 0.1314 0.8887
O7 O 0.3932 0.6586 0.4780
O8 O 0.4650 0.7303 0.8270
```

Largest 8 diffraction maxima, in order of rising 2θ, 2θ = 15–90°:
- (1 0 4), 25.9°, I = 61
- (1 2 -1), 26.4°, I = 100
- (1 0 -6), 26.7°, I = 84
- (0 2 5), 29.6°, I = 65
- (2 0 -2), 32.4°, I = 32
- (2 2 3), 43.9°, I = 26
- (2 2 -7), 45.0°, I = 21
- (1 2 -11), 51.0°, I = 20

TlGaI4: simulated X-ray powder pattern (Cu Kα (weighted mean of Kα1 and Kα2)), based on a cell relaxed with GGA-PBE.
Lines closer than 0.1° are merged.

Structure:
```
data_TlGaI4
_symmetry_space_group_name_H-M 'P 1 21/c 1'
_symmetry_Int_Tables_number 14
_cell_length_a 8.4125
_cell_length_b 8.1234
_cell_length_c 16.4854
_cell_angle_alpha 90.00
_cell_angle_beta 95.32
_cell_angle_gamma 90.00
loop_
_symmetry_equiv_pos_as_xyz
'x,y,z'
'-x,-y,-z'
'-x,y+1/2,-z+1/2'
'x,-y+1/2,z+1/2'
loop_
_atom_site_label
_atom_site_type_symbol
_atom_site_fract_x
_atom_site_fract_y
_atom_site_fract_z
Tl1 Tl 0.2445 0.0037 0.1378
Ga1 Ga 0.2564 0.1419 0.8606
I1 I 0.0803 0.2388 0.4681
I2 I 0.0832 0.1092 0.7231
I3 I 0.3617 0.6435 0.4106
I4 I 0.4857 0.1535 0.3399
```

Largest 8 diffraction maxima, in order of rising 2θ, 2θ = 15–90°:
- (2 1 0), 23.9°, I = 43
- (2 1 -1), 24.1°, I = 45
- (1 0 4), 25.0°, I = 89
- (1 2 1), 25.2°, I = 52
- (1 1 -4), 25.7°, I = 55
- (1 2 2), 27.1°, I = 78
- (0 2 3), 27.4°, I = 43
- (2 1 -3), 27.9°, I = 100